# 1
The following is a simulated PXRD pattern of GeS2. It was derived from a structure optimized by DFT (PBE), using copper Kα.

Peak list (6 most intense, 2θ = 5–70°, sorted by position)
14.44 deg, I = 98; 18.20 deg, I = 34; 22.45 deg, I = 100; 29.12 deg, I = 68; 37.08 deg, I = 53; 49.91 deg, I = 50

Atomic structure:
Cell lengths 11.275, 11.275, 19.197 Å; angles 90.00, 90.00, 90.00 degrees
Space group I4_1/acd (No. 142, origin choice 2)
Symmetry-distinct sites (fractional):
Ge 0.092 0.125 0.311
S 0.000 0.250 0.013
S 0.033 0.016 0.876
S 0.208 0.000 0.250

=====

# 2
The following is a simulated PXRD pattern of LiUPO6. It was derived from a structure optimized by DFT (PBE), using copper Kα.

Peak list (6 most intense, 2θ = 5–70°, sorted by position)
18.13 deg, I = 66; 18.89 deg, I = 86; 19.75 deg, I = 63; 20.75 deg, I = 88; 21.29 deg, I = 100; 28.02 deg, I = 55

Atomic structure:
Cell lengths 5.123, 10.074, 10.972 Å; angles 64.33, 77.07, 77.29 degrees
Space group P-1 (No. 2)
Symmetry-distinct sites (fractional):
Li 0.053 0.383 0.264
Li 0.065 0.907 0.195
U 0.010 0.721 0.016
U 0.491 0.793 0.479
P 0.423 0.111 0.235
P 0.446 0.585 0.279
O 0.158 0.766 0.582
O 0.175 0.183 0.621
O 0.185 0.109 0.970
O 0.215 0.244 0.161
O 0.221 0.554 0.010
O 0.258 0.432 0.796
O 0.258 0.703 0.175
O 0.292 0.874 0.851
O 0.334 0.960 0.266
O 0.340 0.432 0.344
O 0.434 0.102 0.379
O 0.440 0.642 0.389

=====

# 3
The following is a simulated PXRD pattern of CdSeO4. It was derived from a structure optimized by DFT (PBE), using copper Kα.

Peak list (6 most intense, 2θ = 5–70°, sorted by position)
26.83 deg, I = 49; 28.25 deg, I = 100; 30.14 deg, I = 85; 35.80 deg, I = 25; 45.36 deg, I = 28; 47.11 deg, I = 26

Atomic structure:
Cell lengths 6.718, 7.181, 8.329 Å; angles 90.00, 127.07, 90.00 degrees
Space group P2_1/c (No. 14)
Symmetry-distinct sites (fractional):
Cd 0.190 0.144 0.280
Se 0.310 0.664 0.196
O 0.118 0.650 0.604
O 0.168 0.504 0.245
O 0.348 0.602 0.022
O 0.392 0.209 0.109

=====

# 4
The following is a simulated PXRD pattern of Na2Al2Si3H6O13. It was derived from a structure optimized by DFT (PBE), using copper Kα.

Peak list (6 most intense, 2θ = 5–70°, sorted by position)
13.09 deg, I = 72; 15.02 deg, I = 29; 30.18 deg, I = 52; 30.32 deg, I = 100; 30.42 deg, I = 42; 30.76 deg, I = 30

Atomic structure:
Cell lengths 6.602, 19.339, 9.963 Å; angles 90.00, 108.25, 90.00 degrees
Space group Cc (No. 9)
Symmetry-distinct sites (fractional):
Na 0.000 0.142 0.000
Na 0.469 0.169 0.937
Al 0.224 0.462 0.947
Al 0.302 0.285 0.120
Si 0.111 0.419 0.215
Si 0.158 0.129 0.546
Si 0.445 0.169 0.351
H 0.076 0.008 0.141
H 0.107 0.061 0.270
H 0.218 0.271 0.635
H 0.246 0.347 0.701
H 0.274 0.064 0.840
H 0.348 0.039 0.997
O 0.046 0.199 0.582
O 0.079 0.057 0.168
O 0.091 0.273 0.961
O 0.093 0.395 0.833
O 0.109 0.469 0.085
O 0.185 0.456 0.369
O 0.253 0.143 0.416
O 0.256 0.073 0.933
O 0.259 0.350 0.231
O 0.276 0.318 0.628
O 0.334 0.203 0.195
O 0.360 0.109 0.691
O 0.496 0.437 0.012

=====

# 5
The following is a simulated PXRD pattern of Ge3BH4NO8. It was derived from a structure optimized by DFT (PBE), using copper Kα.

Peak list (6 most intense, 2θ = 5–70°, sorted by position)
14.67 deg, I = 100; 15.23 deg, I = 40; 24.40 deg, I = 42; 24.70 deg, I = 66; 25.48 deg, I = 40; 27.06 deg, I = 87

Atomic structure:
Cell lengths 7.126, 7.574, 7.847 Å; angles 103.26, 102.79, 104.52 degrees
Space group P-1 (No. 2)
Symmetry-distinct sites (fractional):
Ge 0.154 0.334 0.106
Ge 0.249 0.155 0.733
Ge 0.273 0.784 0.197
B 0.151 0.105 0.356
H 0.221 0.732 0.597
H 0.260 0.516 0.595
H 0.268 0.676 0.790
H 0.455 0.723 0.689
N 0.301 0.661 0.666
O 0.070 0.938 0.708
O 0.115 0.723 0.968
O 0.208 0.932 0.365
O 0.233 0.246 0.544
O 0.246 0.193 0.230
O 0.249 0.344 0.918
O 0.252 0.570 0.261
O 0.482 0.110 0.811

=====

# 6
The following is a simulated PXRD pattern of CaTi4S8. It was derived from a structure optimized by DFT (PBE), using copper Kα.

Peak list (6 most intense, 2θ = 5–70°, sorted by position)
12.78 deg, I = 100; 32.75 deg, I = 70; 39.93 deg, I = 79; 49.91 deg, I = 18; 53.20 deg, I = 10; 53.39 deg, I = 21

Atomic structure:
Cell lengths 11.875, 6.887, 9.104 Å; angles 90.00, 130.44, 90.00 degrees
Space group C2/m (No. 12)
Symmetry-distinct sites (fractional):
Ca 0.000 0.000 0.000
Ti 0.000 0.257 0.500
Ti 0.244 0.500 0.493
S 0.017 0.000 0.703
S 0.022 0.500 0.710
S 0.229 0.250 0.289

=====

# 7
The following is a simulated PXRD pattern of Li6CuF8. It was derived from a structure optimized by DFT (PBE), using copper Kα.

Peak list (6 most intense, 2θ = 5–70°, sorted by position)
18.52 deg, I = 100; 21.42 deg, I = 33; 30.47 deg, I = 28; 35.90 deg, I = 46; 43.64 deg, I = 90; 63.42 deg, I = 47

Atomic structure:
Cell lengths 8.297, 8.297, 8.297 Å; angles 90.00, 90.00, 90.00 degrees
Space group Fm-3m (No. 225)
Symmetry-distinct sites (fractional):
Li 0.000 0.250 0.250
Cu 0.000 0.000 0.000
F 0.000 0.000 0.243
F 0.250 0.250 0.250

=====

# 8
The following is a simulated PXRD pattern of Ba2CuSe2F. It was derived from a structure optimized by DFT (PBE), using copper Kα.

Peak list (6 most intense, 2θ = 5–70°, sorted by position)
19.14 deg, I = 100; 27.19 deg, I = 42; 38.83 deg, I = 16; 40.47 deg, I = 24; 43.64 deg, I = 23; 45.13 deg, I = 17

Atomic structure:
Cell lengths 4.638, 4.638, 15.249 Å; angles 90.00, 90.00, 90.00 degrees
Space group P4/mmm (No. 123)
Symmetry-distinct sites (fractional):
Ba 0.000 0.000 0.164
Cu 0.000 0.000 0.500
Se 0.000 0.000 0.355
F 0.000 0.000 0.000